[1]
Theoretical powder XRD pattern
Compound: Li3Mn2P4O14
Radiation: Cu Kα, 1.54184 Å
Structure: a cell relaxed with PBE+U
Neutral-atom scattering factors, no anomalous dispersion.

Top 10 peaks for 10° ≤ 2θ ≤ 90°, by angle:
two_theta, intensity
17.05, 100
21.69, 24
22.06, 20
25.22, 16
26.02, 27
28.01, 20
28.47, 31
29.04, 32
29.60, 18
37.36, 16

Crystal structure
```
Li3Mn2P4O14
1.0
5.0712 0.0000 0.0000
2.1935 6.6517 0.0000
0.1852 -0.0115 8.3354
Li Mn P O
3 2 4 14
Direct
0.0000 0.0000 0.0000 Li
0.1080 0.5693 0.6909 Li
0.6570 0.3203 0.4922 Li
0.0571 0.9290 0.3465 Mn
0.6274 0.3895 0.8659 Mn
0.0455 0.5793 0.0726 P
0.2250 0.1340 0.6630 P
0.4298 0.1836 0.1773 P
0.6327 0.7438 0.5543 P
0.0316 0.1533 0.8082 O
0.0668 0.1372 0.5051 O
0.2066 0.5897 0.9151 O
0.2191 0.0631 0.1793 O
0.2476 0.4192 0.1934 O
0.3752 0.2937 0.6571 O
0.4558 0.7329 0.4143 O
0.4578 0.9166 0.6794 O
0.5848 0.1535 0.0156 O
0.6185 0.1449 0.3214 O
0.7161 0.5495 0.6554 O
0.7867 0.5221 0.0468 O
0.9115 0.7836 0.5163 O
0.9828 0.7813 0.1631 O
```

[2]
Theoretical powder XRD pattern
Compound: Li2MnP2O8
Radiation: Cu Kα, 1.54184 Å
Structure: a cell relaxed with PBE+U
Neutral-atom scattering factors, no anomalous dispersion.

Top 10 peaks for 10° ≤ 2θ ≤ 90°, by angle:
two_theta, intensity
13.66, 100
20.45, 63
24.86, 54
28.08, 70
28.85, 71
33.08, 24
33.33, 29
37.02, 33
38.90, 21
63.02, 14

Crystal structure
```
Li2MnP2O8
1.0
4.8938 0.0000 0.0000
2.0445 4.7141 0.0000
0.4135 1.9794 6.4812
Li Mn P O
2 1 2 8
Direct
0.2135 0.2851 0.1593 Li
0.7865 0.7149 0.8407 Li
0.5000 0.5000 0.5000 Mn
0.1341 0.1314 0.7274 P
0.8659 0.8686 0.2726 P
0.1091 0.3015 0.8809 O
0.1803 0.8512 0.3329 O
0.2506 0.2853 0.5200 O
0.3528 0.8058 0.7910 O
0.6472 0.1942 0.2090 O
0.7494 0.7147 0.4800 O
0.8197 0.1488 0.6671 O
0.8909 0.6985 0.1191 O
```

[3]
Theoretical powder XRD pattern
Compound: LiMnP2O7
Radiation: Cu Kα, 1.54184 Å
Structure: a cell relaxed with PBE+U
Neutral-atom scattering factors, no anomalous dispersion.

Top 10 peaks for 10° ≤ 2θ ≤ 90°, by angle:
two_theta, intensity
11.72, 100
20.81, 93
22.25, 26
27.25, 37
28.39, 37
30.53, 21
34.66, 19
35.71, 31
37.97, 9
47.54, 13

Crystal structure
```
LiMnP2O7
1.0
8.5445 0.0000 0.0000
0.0000 5.1757 0.0000
-6.6618 0.0000 12.5749
Li Mn P O
4 4 8 28
Direct
0.2382 0.1851 0.0216 Li
0.2382 0.3149 0.5216 Li
0.7618 0.6851 0.4784 Li
0.7618 0.8149 0.9784 Li
0.4677 0.7156 0.6420 Mn
0.4677 0.7844 0.1420 Mn
0.5323 0.2156 0.8580 Mn
0.5323 0.2844 0.3580 Mn
0.1754 0.7290 0.1595 P
0.1754 0.7710 0.6595 P
0.3255 0.7079 0.8866 P
0.3255 0.7921 0.3866 P
0.6745 0.2079 0.6134 P
0.6745 0.2921 0.1134 P
0.8246 0.2290 0.3405 P
0.8246 0.2710 0.8405 P
0.0070 0.2118 0.4282 O
0.0070 0.2882 0.9282 O
0.1635 0.7228 0.2696 O
0.1635 0.7772 0.7696 O
0.2656 0.7218 0.4675 O
0.2656 0.7782 0.9675 O
0.2856 0.5237 0.6610 O
0.2856 0.9763 0.1610 O
0.3174 0.5203 0.1669 O
0.3174 0.9797 0.6669 O
0.3645 0.0834 0.3852 O
0.3645 0.4166 0.8852 O
0.4841 0.6319 0.3956 O
0.4841 0.8681 0.8956 O
0.5159 0.1319 0.1044 O
0.5159 0.3681 0.6044 O
0.6355 0.5834 0.1148 O
0.6355 0.9166 0.6148 O
0.6826 0.0203 0.3331 O
0.6826 0.4797 0.8331 O
0.7144 0.0237 0.8390 O
0.7144 0.4763 0.3390 O
0.7344 0.2218 0.0325 O
0.7344 0.2782 0.5325 O
0.8365 0.2228 0.2304 O
0.8365 0.2772 0.7304 O
0.9930 0.7118 0.0718 O
0.9930 0.7882 0.5718 O
```

[4]
Theoretical powder XRD pattern
Compound: LiMnPO4
Radiation: Cu Kα, 1.54184 Å
Structure: a cell relaxed with PBE+U
Neutral-atom scattering factors, no anomalous dispersion.

Top 10 peaks for 10° ≤ 2θ ≤ 90°, by angle:
two_theta, intensity
22.42, 100
34.73, 69
35.24, 16
47.49, 15
55.38, 15
57.58, 19
59.82, 9
66.96, 6
69.34, 6
71.06, 11

Crystal structure
```
LiMnPO4
1.0
-2.1866 2.1866 4.6997
2.1866 -2.1866 4.6997
2.1866 2.1866 -4.6997
Li Mn P O
1 1 1 4
Direct
0.0000 0.0000 0.0000 Li
0.7500 0.2500 0.5000 Mn
0.5000 0.5000 0.0000 P
0.1842 0.5946 0.9706 O
0.4054 0.3760 0.5896 O
0.6240 0.2136 0.0294 O
0.7864 0.8158 0.4104 O
```

[5]
Theoretical powder XRD pattern
Compound: Li2MnP2O8
Radiation: Cu Kα, 1.54184 Å
Structure: a cell relaxed with PBE+U
Neutral-atom scattering factors, no anomalous dispersion.

Top 10 peaks for 10° ≤ 2θ ≤ 90°, by angle:
two_theta, intensity
13.02, 100
24.63, 99
25.34, 51
31.10, 10
33.19, 28
36.05, 43
38.60, 23
53.36, 12
58.97, 10
61.71, 10

Crystal structure
```
Li2MnP2O8
1.0
4.4614 -2.3238 0.0000
4.4614 2.3238 0.0000
-1.7131 0.0000 13.6020
Li Mn P O
4 2 4 16
Direct
0.0282 0.9718 0.5000 Li
0.6283 0.7143 0.9039 Li
0.7143 0.6283 0.4039 Li
0.9718 0.0282 0.0000 Li
0.6569 0.6697 0.1629 Mn
0.6697 0.6569 0.6629 Mn
0.0178 0.9902 0.2719 P
0.3172 0.3332 0.0500 P
0.3332 0.3172 0.5500 P
0.9902 0.0178 0.7719 P
0.1063 0.4383 0.6349 O
0.1522 0.5165 0.4612 O
0.1538 0.8913 0.8715 O
0.2285 0.8735 0.6886 O
0.3319 0.6364 0.0806 O
0.3997 0.8138 0.2792 O
0.4383 0.1063 0.1349 O
0.4814 0.9410 0.5332 O
0.5165 0.1522 0.9612 O
0.6364 0.3319 0.5806 O
0.7123 0.9677 0.7418 O
0.8138 0.3997 0.7792 O
0.8735 0.2285 0.1886 O
0.8913 0.1538 0.3715 O
0.9410 0.4814 0.0332 O
0.9677 0.7123 0.2418 O
```